Starting from a structure optimized by DFT (PBE+U), the powder X-ray diffraction pattern of LiVP3O9 was computed for Cu Kα.
Lines closer than 0.1° are merged.

Principal peaks in the range 10° ≤ 2θ ≤ 90°, in order of falling intensity:
Position (°2θ)	d [Å]	intensity
24.17	3.683	100
28.97	3.082	69
33.15	2.703	52
15.75	5.627	51
18.21	4.871	31
48.54	1.876	23
49.50	1.841	20
57.53	1.602	20
36.90	2.436	17
42.51	2.127	15

a = 6.497 Å, b = 6.497 Å, c = 9.743 Å
α = 90.00°, β = 90.00°, γ = 120.00°
Positions (direct):
Li  0.000  0.000  0.000
Li  0.000  0.000  0.500
V  0.333  0.667  0.000
V  0.333  0.667  0.500
P  0.414  0.059  0.250
P  0.414  0.354  0.750
P  0.646  0.059  0.750
P  0.646  0.586  0.250
P  0.941  0.354  0.250
P  0.941  0.586  0.750
O  0.060  0.360  0.117
O  0.060  0.360  0.383
O  0.060  0.700  0.617
O  0.060  0.700  0.883
O  0.300  0.360  0.617
O  0.300  0.360  0.883
O  0.300  0.940  0.117
O  0.300  0.940  0.383
O  0.435  0.120  0.750
O  0.435  0.315  0.250
O  0.640  0.700  0.117
O  0.640  0.700  0.383
O  0.640  0.940  0.617
O  0.640  0.940  0.883
O  0.685  0.120  0.250
O  0.685  0.565  0.750
O  0.880  0.315  0.750
O  0.880  0.565  0.250